Calculated powder diffraction line list of KAl2VO6 for Cu Kα, 1.54184 Å, from the GGA+U geometry in Alexandria.
Intensities are scaled so that the largest is 100.

Largest 10 diffraction maxima, in order of rising 2θ, 10° ≤ 2θ ≤ 80°:
2θ/deg, I/Imax
17.25, 23
22.05, 100
25.62, 34
27.89, 51
30.50, 35
31.90, 23
32.45, 22
34.20, 17
45.04, 18
55.65, 17

Atomic structure:
```
data_KAl2VO6
_symmetry_space_group_name_H-M 'P 1'
_symmetry_Int_Tables_number 1
_symmetry_space_group_name_Hall 'P 1'
_cell_length_a 7.2421
_cell_length_b 7.2421
_cell_length_c 6.0629
_cell_angle_alpha 103.27
_cell_angle_beta 103.27
_cell_angle_gamma 105.84
loop_
_atom_site_label
_atom_site_type_symbol
_atom_site_fract_x
_atom_site_fract_y
_atom_site_fract_z
K1 K 0.1014 0.8986 0.7500
K2 K 0.8986 0.1014 0.2500
Al1 Al 0.3073 0.4496 0.8488
Al2 Al 0.4496 0.3073 0.3488
Al3 Al 0.5504 0.6927 0.6512
Al4 Al 0.6927 0.5504 0.1512
V1 V 0.2024 0.7976 0.2500
V2 V 0.7976 0.2024 0.7500
O1 O 0.0441 0.2590 0.7352
O2 O 0.2115 0.6444 0.9902
O3 O 0.2590 0.0441 0.2352
O4 O 0.3387 0.4232 0.5543
O5 O 0.3556 0.7885 0.5098
O6 O 0.4232 0.3387 0.0543
O7 O 0.5768 0.6613 0.9457
O8 O 0.6444 0.2115 0.4902
O9 O 0.6613 0.5768 0.4457
O10 O 0.7410 0.9559 0.7648
O11 O 0.7885 0.3556 0.0098
O12 O 0.9559 0.7410 0.2648
```